Record 1
Theoretical powder diffraction line list of Al2ReTc for Cu Ka, from a GGA-PBE-relaxed structure.
Kinematic intensities with the Lorentz-polarization factor, no thermal factor.

Cell and atoms:
Unit cell a=2.854 b=4.472 c=4.586 alpha=90.00 beta=90.00 gamma=90.00
Atoms (fractional coordinates):
Al (0.000, 0.000, 0.000)
Al (0.500, 0.500, 0.151)
Re (0.000, 0.500, 0.663)
Tc (0.500, 0.000, 0.488)

Largest 6 diffraction maxima, by angle, 5 to 70 degrees two-theta:
2θ/deg  I_rel
19.4  84.2
27.9  35.9
37.4  43.9
40.3  38.2
42.4  100.0
44.4  45.5

Record 2
Theoretical powder diffraction line list of AlReTe2 for Cu Ka, from a GGA-PBE-relaxed structure.
Kinematic intensities with the Lorentz-polarization factor, no thermal factor.

Cell and atoms:
Unit cell a=3.263 b=4.127 c=14.200 alpha=90.00 beta=90.00 gamma=90.00
Atoms (fractional coordinates):
Al (0.000, 0.000, 0.000)
Al (0.500, 0.500, 0.500)
Re (0.000, 0.000, 0.500)
Re (0.500, 0.500, 0.000)
Te (0.000, 0.500, 0.156)
Te (0.000, 0.500, 0.844)
Te (0.500, 0.000, 0.344)
Te (0.500, 0.000, 0.656)

Largest 6 diffraction maxima, by angle, 5 to 70 degrees two-theta:
2θ/deg  I_rel
12.5  29.4
22.4  100.0
33.4  68.2
37.3  58.9
43.6  60.4
56.2  30.9